Structure and computed PXRD pattern of GePdS3 (DFT lattice parameters and positions (PBE); λ = 1.5418 Å (Cu Kα)).
Peak positions follow from Bragg's law for the DFT cell and can differ from measured ones.

Cell and atoms:
Cell lengths 15.1144, 3.5004, 9.3972 Å; angles 90.00, 107.86, 90.00 degrees
Space group C2/m (No. 12)
Inequivalent atoms, fractional coordinates:
1 Ge 0.0838 0.0000 0.3005 (multiplicity 4)
2 Pd 0.1092 0.5000 0.9724 (multiplicity 4)
3 S 0.0728 0.0000 0.7969 (multiplicity 4)
4 S 0.1269 0.5000 0.4579 (multiplicity 4)
5 S 0.1704 0.0000 0.1417 (multiplicity 4)

Largest 10 diffraction maxima, by angle, 10° ≤ 2θ ≤ 90°:
Position (°2θ)	I/Imax	(hkl)
12.3	45	2 0 0
13.2	31	2 0 -1
19.9	51	2 0 -2
24.8	95	4 0 0
26.6	69	4 0 -2
28.7	42	1 1 1
31.9	55	1 1 -2
34.3	100	1 1 2
47.0	60	3 1 -4
50.0	49	5 1 2

Structure and computed PXRD pattern of SmGePd (DFT lattice parameters and positions (PBE); λ = 1.5418 Å (Cu Kα)).
Peak positions follow from Bragg's law for the DFT cell and can differ from measured ones.

Cell and atoms:
Cell lengths 4.4818, 4.4818, 3.6275 Å; angles 90.00, 90.00, 120.00 degrees
Space group P-6m2 (No. 187)
Inequivalent atoms, fractional coordinates:
1 Sm 0.0000 0.0000 0.0000 (multiplicity 1)
2 Ge 0.3333 0.6667 0.5000 (multiplicity 1)
3 Pd 0.6667 0.3333 0.5000 (multiplicity 1)

Largest 10 diffraction maxima, by angle, 10° ≤ 2θ ≤ 90°:
Position (°2θ)	I/Imax	(hkl)
22.9	9	1 0 0
33.8	100	1 0 1
40.2	58	1 1 0
50.3	10	0 0 2
53.6	27	2 0 1
66.3	26	1 1 2
69.1	25	2 1 1
73.1	10	3 0 0
83.8	7	1 0 3
87.0	6	2 2 0

Structure and computed PXRD pattern of SmGe2Pd2 (DFT lattice parameters and positions (PBE); λ = 1.5418 Å (Cu Kα)).
Peak positions follow from Bragg's law for the DFT cell and can differ from measured ones.

Cell and atoms:
Cell lengths 4.3238, 4.3238, 10.1915 Å; angles 90.00, 90.00, 90.00 degrees
Space group I4/mmm (No. 139)
Inequivalent atoms, fractional coordinates:
1 Sm 0.0000 0.0000 0.0000 (multiplicity 2)
2 Ge 0.0000 0.0000 0.3785 (multiplicity 4)
3 Pd 0.0000 0.5000 0.2500 (multiplicity 4)

Largest 10 diffraction maxima, by angle, 10° ≤ 2θ ≤ 90°:
Position (°2θ)	I/Imax	(hkl)
33.5	47	1 0 3
34.2	100	1 1 2
41.8	55	2 0 0
46.4	14	1 1 4
49.4	18	1 0 5
54.6	23	2 1 3
60.6	18	2 2 0
62.6	15	1 1 6
66.7	15	2 1 5
71.4	23	3 1 2

Structure and computed PXRD pattern of SmGePd (DFT lattice parameters and positions (PBE); λ = 1.5418 Å (Cu Kα)).
Peak positions follow from Bragg's law for the DFT cell and can differ from measured ones.

Cell and atoms:
Cell lengths 10.5242, 4.4500, 7.2356 Å; angles 90.00, 132.33, 90.00 degrees
Space group C2/m (No. 12)
Inequivalent atoms, fractional coordinates:
1 Sm 0.0429 0.0000 0.3037 (multiplicity 4)
2 Ge 0.1594 0.5000 0.1034 (multiplicity 4)
3 Pd 0.1798 0.5000 0.7275 (multiplicity 4)

Largest 10 diffraction maxima, by angle, 10° ≤ 2θ ≤ 90°:
Position (°2θ)	I/Imax	(hkl)
32.8	42	1 1 1
33.5	28	0 0 2
33.8	50	1 1 -2
34.1	100	3 1 -2
38.9	17	2 0 -3
40.2	66	3 1 0
40.5	45	0 2 0
53.6	14	0 2 2
54.0	21	4 2 -2
64.5	17	1 1 3

Structure and computed PXRD pattern of SmGePd (DFT lattice parameters and positions (PBE); λ = 1.5418 Å (Cu Kα)).
Peak positions follow from Bragg's law for the DFT cell and can differ from measured ones.

Cell and atoms:
Cell lengths 21.5499, 4.4887, 7.6489 Å; angles 90.00, 90.00, 90.00 degrees
Space group Pnma (No. 62)
Inequivalent atoms, fractional coordinates:
1 Sm 0.0012 0.2500 0.2154 (multiplicity 4)
2 Sm 0.1660 0.2500 0.2888 (multiplicity 4)
3 Sm 0.1668 0.7500 0.7091 (multiplicity 4)
4 Ge 0.0712 0.2500 0.5875 (multiplicity 4)
5 Ge 0.1021 0.7500 0.0882 (multiplicity 4)
6 Ge 0.2304 0.7500 0.0832 (multiplicity 4)
7 Pd 0.0651 0.7500 0.4172 (multiplicity 4)
8 Pd 0.0935 0.2500 0.9195 (multiplicity 4)
9 Pd 0.2374 0.2500 0.9158 (multiplicity 4)

Largest 10 diffraction maxima, by angle, 10° ≤ 2θ ≤ 90°:
Position (°2θ)	I/Imax	(hkl)
33.2	28	3 1 2
34.1	100	6 1 1
34.2	43	6 0 2
39.4	15	9 0 1
40.2	35	0 2 0
40.7	54	0 1 3
53.8	24	6 2 2
57.6	10	9 2 1
65.9	16	9 1 4
69.1	13	6 3 1

Structure and computed PXRD pattern of Sm2Ge6Pd (DFT lattice parameters and positions (PBE); λ = 1.5418 Å (Cu Kα)).
Peak positions follow from Bragg's law for the DFT cell and can differ from measured ones.

Cell and atoms:
Cell lengths 4.1557, 4.1025, 22.2624 Å; angles 90.00, 90.00, 90.00 degrees
Space group Amm2 (No. 38)
Inequivalent atoms, fractional coordinates:
1 Sm 0.0000 0.0000 0.0000 (multiplicity 2)
2 Sm 0.0000 0.0000 0.3378 (multiplicity 2)
3 Ge 0.0000 0.0000 0.6038 (multiplicity 2)
4 Ge 0.0000 0.0000 0.7161 (multiplicity 2)
5 Ge 0.5000 0.0000 0.1021 (multiplicity 2)
6 Ge 0.5000 0.0000 0.2148 (multiplicity 2)
7 Ge 0.5000 0.0000 0.4576 (multiplicity 2)
8 Ge 0.5000 0.0000 0.8886 (multiplicity 2)
9 Pd 0.5000 0.0000 0.7787 (multiplicity 2)

Largest 10 diffraction maxima, by angle, 10° ≤ 2θ ≤ 90°:
Position (°2θ)	I/Imax	(hkl)
32.3	24	1 0 6
33.0	100	1 1 3
36.8	13	1 1 5
42.0	14	1 1 7
42.7	20	0 1 9
43.6	24	2 0 0
44.2	23	0 2 0
62.6	14	2 1 9
63.8	15	2 2 0
73.2	14	3 1 3